Structure and simulated powder XRD pattern of Y4Ni13C4 (a crystal structure in OQMD, relaxed with GGA-PBE; a wavelength of 1.5418 Å).

Most intense lines, 10° ≤ 2θ ≤ 90°, low angle first:
33.08°, I = 53; 37.91°, I = 54; 41.02°, I = 27; 41.41°, I = 100; 44.21°, I = 32; 46.97°, I = 50

Structural model:
Lattice parameters (Å, degrees): 8.4045 8.4045 3.8690 90.00 90.00 91.30
Fractional positions:
1 Y 0.1878 0.8122 0.0000
2 Y 0.3489 0.3489 0.0000
3 Y 0.6511 0.6511 0.0000
4 Y 0.8122 0.1878 0.0000
5 Ni 0.0000 0.0000 0.5000
6 Ni 0.0000 0.5000 0.0000
7 Ni 0.0743 0.2910 0.5000
8 Ni 0.1234 0.1234 0.0000
9 Ni 0.2157 0.5689 0.5000
10 Ni 0.2910 0.0743 0.5000
11 Ni 0.4311 0.7843 0.5000
12 Ni 0.5000 0.0000 0.0000
13 Ni 0.5689 0.2157 0.5000
14 Ni 0.7090 0.9257 0.5000
15 Ni 0.7843 0.4311 0.5000
16 Ni 0.8766 0.8766 0.0000
17 Ni 0.9257 0.7090 0.5000
18 C 0.0000 0.5000 0.5000
19 C 0.4431 0.5569 0.5000
20 C 0.5000 0.0000 0.5000
21 C 0.5569 0.4431 0.5000

=====

Structure and simulated powder XRD pattern of Fe7Pt2 (a crystal structure in OQMD, relaxed with GGA-PBE; a wavelength of 1.5418 Å).

Most intense lines, 10° ≤ 2θ ≤ 90°, low angle first:
33.49°, I = 47; 35.49°, I = 23; 38.28°, I = 47; 44.57°, I = 29; 44.88°, I = 100; 73.83°, I = 21

Structural model:
Lattice parameters (Å, degrees): 12.1398 12.1398 12.1398 22.33 22.33 22.33
Fractional positions:
1 Fe 0.0000 0.0000 0.0000
2 Fe 0.0000 0.0000 0.5000
3 Fe 0.0000 0.5000 0.0000
4 Fe 0.1115 0.1115 0.1115
5 Fe 0.1130 0.1130 0.6090
6 Fe 0.1130 0.6090 0.1130
7 Fe 0.2223 0.2223 0.2223
8 Fe 0.3910 0.8870 0.8870
9 Fe 0.5000 0.0000 0.0000
10 Fe 0.6090 0.1130 0.1130
11 Fe 0.7777 0.7777 0.7777
12 Fe 0.8870 0.3910 0.8870
13 Fe 0.8870 0.8870 0.3910
14 Fe 0.8885 0.8885 0.8885
15 Pt 0.3475 0.3475 0.3475
16 Pt 0.4479 0.4479 0.4479
17 Pt 0.5521 0.5521 0.5521
18 Pt 0.6525 0.6525 0.6525

=====

Structure and simulated powder XRD pattern of Tl3PdBr (a crystal structure in OQMD, relaxed with GGA-PBE; a wavelength of 1.5418 Å).

Most intense lines, 10° ≤ 2θ ≤ 90°, low angle first:
16.41°, I = 44; 28.63°, I = 100; 33.17°, I = 98; 47.62°, I = 72; 56.51°, I = 46; 79.32°, I = 27

Structural model:
Lattice parameters (Å, degrees): 7.6334 7.6380 7.6386 90.00 119.97 119.98
Fractional positions:
1 Tl 0.0000 0.0000 0.0000
2 Tl 0.0000 0.4944 0.4974
3 Tl 0.4950 0.9917 0.9995
4 Tl 0.4980 0.9991 0.5010
5 Tl 0.5024 0.4951 0.9969
6 Tl 0.5053 0.5032 0.4984
7 Pd 0.5000 0.2472 0.2490
8 Pd 0.5000 0.7472 0.7490
9 Br 0.9988 0.4982 0.0002
10 Br 0.9989 0.9950 0.5005

=====

Structure and simulated powder XRD pattern of Rb3Co (a crystal structure in OQMD, relaxed with GGA-PBE; a wavelength of 1.5418 Å).

Most intense lines, 10° ≤ 2θ ≤ 90°, low angle first:
22.21°, I = 53; 27.60°, I = 46; 27.84°, I = 89; 28.24°, I = 100; 39.93°, I = 25; 49.41°, I = 23

Structural model:
Lattice parameters (Å, degrees): 6.4648 11.0714 11.5176 90.00 90.00 90.00
Fractional positions:
1 Rb 0.0000 0.0027 0.2500
2 Rb 0.0000 0.3334 0.5721
3 Rb 0.0000 0.3334 0.9279
4 Rb 0.0000 0.6666 0.0721
5 Rb 0.0000 0.6666 0.4279
6 Rb 0.0000 0.9973 0.7500
7 Rb 0.5000 0.1666 0.0721
8 Rb 0.5000 0.1666 0.4279
9 Rb 0.5000 0.4973 0.7500
10 Rb 0.5000 0.5027 0.2500
11 Rb 0.5000 0.8334 0.5721
12 Rb 0.5000 0.8334 0.9279
13 Co 0.0000 0.3319 0.2500
14 Co 0.0000 0.6681 0.7500
15 Co 0.5000 0.1681 0.7500
16 Co 0.5000 0.8319 0.2500

=====

Structure and simulated powder XRD pattern of Li5Hg2 (a crystal structure in OQMD, relaxed with GGA-PBE; a wavelength of 1.5418 Å).

Most intense lines, 10° ≤ 2θ ≤ 90°, low angle first:
23.20°, I = 100; 24.48°, I = 37; 32.12°, I = 31; 39.21°, I = 39; 39.97°, I = 38; 48.84°, I = 34

Structural model:
Lattice parameters (Å, degrees): 7.1215 7.1215 7.1215 36.93 36.93 36.93
Fractional positions:
1 Li 0.0000 0.0000 0.0000
2 Li 0.1450 0.1450 0.1450
3 Li 0.2869 0.2869 0.2869
4 Li 0.7131 0.7131 0.7131
5 Li 0.8550 0.8550 0.8550
6 Hg 0.4239 0.4239 0.4239
7 Hg 0.5761 0.5761 0.5761

=====

Structure and simulated powder XRD pattern of SrSb2Ir2O7 (a crystal structure in OQMD, relaxed with GGA-PBE; a wavelength of 1.5418 Å).

Most intense lines, 10° ≤ 2θ ≤ 90°, low angle first:
19.32°, I = 65; 19.83°, I = 61; 23.47°, I = 51; 25.42°, I = 56; 34.22°, I = 100; 45.56°, I = 67

Structural model:
Lattice parameters (Å, degrees): 9.6745 9.6745 9.6745 31.43 31.43 31.43
Fractional positions:
1 Sr 0.0000 0.0000 0.0000
2 Sb 0.2380 0.2380 0.2380
3 Sb 0.7620 0.7620 0.7620
4 Ir 0.4340 0.4340 0.4340
5 Ir 0.5660 0.5660 0.5660
6 O 0.0614 0.4255 0.6804
7 O 0.3196 0.5745 0.9386
8 O 0.4255 0.6804 0.0614
9 O 0.5000 0.5000 0.5000
10 O 0.5745 0.9386 0.3196
11 O 0.6804 0.0614 0.4255
12 O 0.9386 0.3196 0.5745

=====

Structure and simulated powder XRD pattern of Dy6Ni2Ge (a crystal structure in OQMD, relaxed with GGA-PBE; a wavelength of 1.5418 Å).

Most intense lines, 10° ≤ 2θ ≤ 90°, low angle first:
31.15°, I = 100; 34.18°, I = 49; 36.88°, I = 31; 39.96°, I = 24; 42.04°, I = 25; 66.52°, I = 21

Structural model:
Lattice parameters (Å, degrees): 7.4452 7.4452 4.5127 90.00 90.00 120.00
Fractional positions:
1 Dy 0.0000 0.2738 0.0000
2 Dy 0.0000 0.5972 0.5000
3 Dy 0.2738 0.0000 0.0000
4 Dy 0.4028 0.4028 0.5000
5 Dy 0.5972 0.0000 0.5000
6 Dy 0.7262 0.7262 0.0000
7 Ni 0.3333 0.6667 0.0000
8 Ni 0.6667 0.3333 0.0000
9 Ge 0.0000 0.0000 0.5000

=====

Structure and simulated powder XRD pattern of Sc4Nb2Ge3C3 (a crystal structure in OQMD, relaxed with GGA-PBE; a wavelength of 1.5418 Å).

Most intense lines, 10° ≤ 2θ ≤ 90°, low angle first:
31.55°, I = 32; 37.37°, I = 100; 37.51°, I = 48; 39.81°, I = 29; 51.60°, I = 15; 56.13°, I = 19

Structural model:
Lattice parameters (Å, degrees): 5.6666 5.6666 13.9868 101.89 101.89 60.16
Fractional positions:
1 Sc 0.0386 0.1914 0.0944
2 Sc 0.1282 0.3016 0.4056
3 Sc 0.1914 0.0386 0.5944
4 Sc 0.3016 0.1282 0.9056
5 Sc 0.6984 0.8718 0.0944
6 Sc 0.8086 0.9614 0.4056
7 Sc 0.8718 0.6984 0.5944
8 Sc 0.9614 0.8086 0.9056
9 Nb 0.3547 0.5270 0.0810
10 Nb 0.4730 0.6453 0.4190
11 Nb 0.5270 0.3547 0.5810
12 Nb 0.6453 0.4730 0.9190
13 Ge 0.1276 0.8724 0.2500
14 Ge 0.2901 0.4200 0.7513
15 Ge 0.4200 0.2901 0.2513
16 Ge 0.5800 0.7099 0.7487
17 Ge 0.7099 0.5800 0.2487
18 Ge 0.8724 0.1276 0.7500
19 C 0.0000 0.5000 0.0000
20 C 0.1784 0.6608 0.4999
21 C 0.3392 0.8216 0.0001
22 C 0.5000 0.0000 0.5000
23 C 0.6608 0.1784 0.9999
24 C 0.8216 0.3392 0.5001

=====

Structure and simulated powder XRD pattern of K2YZnBr6 (a crystal structure in OQMD, relaxed with GGA-PBE; a wavelength of 1.5418 Å).

Most intense lines, 10° ≤ 2θ ≤ 90°, low angle first:
15.74°, I = 61; 27.43°, I = 62; 31.78°, I = 100; 35.65°, I = 32; 45.56°, I = 71; 75.49°, I = 30

Structural model:
Lattice parameters (Å, degrees): 7.9645 7.9645 7.9645 60.00 60.00 60.00
Fractional positions:
1 K 0.2500 0.2500 0.2500
2 K 0.7500 0.7500 0.7500
3 Y 0.0000 0.0000 0.0000
4 Zn 0.5000 0.5000 0.5000
5 Br 0.2483 0.2483 0.7517
6 Br 0.2483 0.7517 0.2483
7 Br 0.2483 0.7517 0.7517
8 Br 0.7517 0.2483 0.2483
9 Br 0.7517 0.2483 0.7517
10 Br 0.7517 0.7517 0.2483

=====

Structure and simulated powder XRD pattern of Re4Cl8O9 (a crystal structure in OQMD, relaxed with GGA-PBE; a wavelength of 1.5418 Å).

Most intense lines, 10° ≤ 2θ ≤ 90°, low angle first:
14.99°, I = 100; 15.20°, I = 62; 20.72°, I = 77; 20.88°, I = 54; 22.95°, I = 69; 28.92°, I = 54

Structural model:
Lattice parameters (Å, degrees): 5.9433 6.0716 12.6394 77.73 89.19 84.13
Fractional positions:
1 Re 0.1349 0.1709 0.3523
2 Re 0.1525 0.3930 0.8884
3 Re 0.8475 0.6070 0.1116
4 Re 0.8651 0.8291 0.6477
5 Cl 0.1572 0.7829 0.1446
6 Cl 0.2637 0.3586 0.7156
7 Cl 0.2755 0.4044 0.4401
8 Cl 0.3661 0.6962 0.8618
9 Cl 0.6339 0.3038 0.1382
10 Cl 0.7245 0.5956 0.5599
11 Cl 0.7363 0.6414 0.2844
12 Cl 0.8428 0.2171 0.8554
13 O 0.0000 0.5000 0.0000
14 O 0.1076 0.2973 0.2149
15 O 0.1265 0.8982 0.5982
16 O 0.3166 0.9278 0.3658
17 O 0.3264 0.1771 0.9596
18 O 0.6736 0.8229 0.0404
19 O 0.6834 0.0722 0.6342
20 O 0.8735 0.1018 0.4018
21 O 0.8924 0.7027 0.7851

=====

Structure and simulated powder XRD pattern of CsNbH2SO (a crystal structure in OQMD, relaxed with GGA-PBE; a wavelength of 1.5418 Å).

Most intense lines, 10° ≤ 2θ ≤ 90°, low angle first:
24.74°, I = 41; 25.66°, I = 100; 26.16°, I = 29; 31.60°, I = 74; 34.72°, I = 54; 46.82°, I = 37

Structural model:
Lattice parameters (Å, degrees): 14.3973 3.5060 3.9634 90.00 90.10 90.00
Fractional positions:
1 Cs 0.0000 0.0000 0.0000
2 Cs 0.5000 0.5000 0.0000
3 Nb 0.2200 0.5000 0.5272
4 Nb 0.7200 0.0000 0.5272
5 H 0.0943 0.5000 0.4932
6 H 0.1590 0.0000 0.4968
7 H 0.5943 0.0000 0.4932
8 H 0.6590 0.5000 0.4968
9 S 0.3427 0.0000 0.4949
10 S 0.8427 0.5000 0.4949
11 O 0.2009 0.5000 0.9950
12 O 0.7009 0.0000 0.9950

=====

Structure and simulated powder XRD pattern of Dy3Y2Er2Ni2Te2 (a crystal structure in OQMD, relaxed with GGA-PBE; a wavelength of 1.5418 Å).

Most intense lines, 10° ≤ 2θ ≤ 90°, low angle first:
28.88°, I = 46; 30.39°, I = 53; 32.96°, I = 88; 34.06°, I = 100; 34.53°, I = 73; 58.87°, I = 40

Structural model:
Lattice parameters (Å, degrees): 9.3506 9.3506 9.3506 156.28 66.86 118.52
Fractional positions:
1 Dy 0.0000 0.0000 0.0000
2 Dy 0.3041 0.6193 0.6848
3 Dy 0.9345 0.6193 0.3152
4 Y 0.2870 0.4182 0.8688
5 Y 0.5494 0.4182 0.1312
6 Er 0.6225 0.2691 0.3534
7 Er 0.9157 0.2691 0.6466
8 Ni 0.1656 0.9279 0.2377
9 Ni 0.6901 0.9279 0.7623
10 Te 0.2642 0.7642 0.5000
11 Te 0.6647 0.6647 0.0000